(1)
Starting from a structure optimized by DFT (PBE), the X-ray powder pattern of Sr3LiAs2H was simulated for CuKα.
Peak positions follow from Bragg's law for the DFT cell and can differ from measured ones.

The 10 most intense peaks (10° ≤ 2θ ≤ 80°), low angle first:
| Position (°2θ) | I/Imax |
| --- | --- |
| 25.4 | 42 |
| 26.2 | 38 |
| 28.5 | 77 |
| 29.1 | 100 |
| 30.0 | 68 |
| 30.4 | 58 |
| 30.6 | 63 |
| 33.0 | 73 |
| 38.6 | 81 |
| 40.1 | 69 |

Structural model:
Lattice parameters (Å, degrees): 12.0999 4.4963 12.6312 90.00 90.00 90.00
Atoms (fractional coordinates):
Sr  0.0626  0.2500  0.1221
Sr  0.1314  0.7500  0.5608
Sr  0.2054  0.2500  0.7986
Sr  0.2946  0.7500  0.2986
Sr  0.3686  0.2500  0.0608
Sr  0.4374  0.7500  0.6221
Sr  0.5626  0.2500  0.3779
Sr  0.6314  0.7500  0.9392
Sr  0.7054  0.2500  0.7014
Sr  0.7946  0.7500  0.2014
Sr  0.8686  0.2500  0.4392
Sr  0.9374  0.7500  0.8779
Li  0.1352  0.2500  0.3588
Li  0.3648  0.7500  0.8588
Li  0.6352  0.2500  0.1412
Li  0.8648  0.7500  0.6412
As  0.0253  0.7500  0.3246
As  0.1869  0.7500  0.9866
As  0.3131  0.2500  0.4866
As  0.4747  0.2500  0.8246
As  0.5253  0.7500  0.1754
As  0.6869  0.7500  0.5134
As  0.8131  0.2500  0.0134
As  0.9747  0.2500  0.6754
H  0.2383  0.2500  0.2266
H  0.2617  0.7500  0.7266
H  0.7383  0.2500  0.2734
H  0.7617  0.7500  0.7734

(2)
Starting from a structure optimized by DFT (PBE), the X-ray powder pattern of MgAsH7O4 was simulated for CuKα.
Peak positions follow from Bragg's law for the DFT cell and can differ from measured ones.

The 10 most intense peaks (10° ≤ 2θ ≤ 80°), low angle first:
| Position (°2θ) | I/Imax |
| --- | --- |
| 11.4 | 100 |
| 14.2 | 15 |
| 15.7 | 40 |
| 16.5 | 15 |
| 19.4 | 70 |
| 25.1 | 15 |
| 28.6 | 12 |
| 31.7 | 15 |
| 31.8 | 14 |
| 42.3 | 14 |

Structural model:
Lattice parameters (Å, degrees): 11.7543 11.7543 10.7902 91.16 91.16 147.75
Atoms (fractional coordinates):
Mg  0.1385  0.8615  0.7500
Mg  0.2670  0.7330  0.7500
Mg  0.7330  0.2670  0.2500
Mg  0.8615  0.1385  0.2500
As  0.3525  0.5603  0.1444
As  0.4397  0.6475  0.3556
As  0.5603  0.3525  0.6444
As  0.6475  0.4397  0.8556
H  0.0266  0.2248  0.0035
H  0.0300  0.4295  0.4205
H  0.0452  0.5984  0.1533
H  0.0605  0.3662  0.8657
H  0.0788  0.2124  0.8702
H  0.2124  0.0788  0.3702
H  0.2248  0.0266  0.5035
H  0.3662  0.0605  0.3657
H  0.4016  0.9548  0.3467
H  0.4295  0.0300  0.9205
H  0.4364  0.5365  0.6243
H  0.4635  0.5636  0.8757
H  0.4806  0.5144  0.6325
H  0.4856  0.5194  0.8675
H  0.5144  0.4806  0.1325
H  0.5194  0.4856  0.3675
H  0.5365  0.4364  0.1243
H  0.5636  0.4635  0.3757
H  0.5705  0.9700  0.0795
H  0.5984  0.0452  0.6533
H  0.6338  0.9395  0.6343
H  0.7752  0.9734  0.4965
H  0.7876  0.9212  0.6298
H  0.9212  0.7876  0.1298
H  0.9395  0.6338  0.1343
H  0.9548  0.4016  0.8467
H  0.9700  0.5705  0.5795
H  0.9734  0.7752  0.9965
O  0.0038  0.7972  0.0933
O  0.0612  0.6532  0.6551
O  0.0827  0.2792  0.1401
O  0.0895  0.4760  0.8385
O  0.2028  0.9962  0.4067
O  0.2792  0.0827  0.6401
O  0.3468  0.9388  0.8449
O  0.4760  0.0895  0.3385
O  0.5240  0.9105  0.6615
O  0.6532  0.0612  0.1551
O  0.7208  0.9173  0.3599
O  0.7972  0.0038  0.5933
O  0.9105  0.5240  0.1615
O  0.9173  0.7208  0.8599
O  0.9388  0.3468  0.3449
O  0.9962  0.2028  0.9067

(3)
Starting from a structure optimized by DFT (PBE), the X-ray powder pattern of Mg7As6H4O24 was simulated for CuKα.
Peak positions follow from Bragg's law for the DFT cell and can differ from measured ones.

The 10 most intense peaks (10° ≤ 2θ ≤ 80°), low angle first:
| Position (°2θ) | I/Imax |
| --- | --- |
| 19.1 | 27 |
| 20.1 | 100 |
| 21.0 | 49 |
| 23.5 | 48 |
| 26.6 | 34 |
| 28.7 | 48 |
| 29.3 | 47 |
| 30.1 | 46 |
| 31.2 | 27 |
| 40.5 | 32 |

Structural model:
Lattice parameters (Å, degrees): 6.8348 8.4479 9.6635 73.01 72.04 82.56
Atoms (fractional coordinates):
Mg  0.0000  0.0000  0.0000
Mg  0.0043  0.2069  0.2801
Mg  0.2818  0.5441  0.1114
Mg  0.3858  0.6862  0.4827
Mg  0.6142  0.3138  0.5173
Mg  0.7182  0.4559  0.8886
Mg  0.9957  0.7931  0.7199
As  0.0078  0.2043  0.6431
As  0.2403  0.4211  0.8194
As  0.4579  0.8007  0.7889
As  0.5421  0.1993  0.2111
As  0.7597  0.5789  0.1806
As  0.9922  0.7957  0.3569
H  0.3136  0.7896  0.1786
H  0.3290  0.1573  0.7610
H  0.6710  0.8427  0.2390
H  0.6864  0.2104  0.8214
O  0.0134  0.5376  0.8330
O  0.0329  0.9928  0.2166
O  0.0970  0.8013  0.5006
O  0.1921  0.2123  0.8909
O  0.2493  0.6932  0.2595
O  0.2844  0.7957  0.9619
O  0.3033  0.2962  0.2261
O  0.3331  0.7827  0.6676
O  0.3728  0.4553  0.6304
O  0.3905  0.4754  0.9109
O  0.4220  0.1265  0.6626
O  0.4318  0.9971  0.2785
O  0.5682  0.0029  0.7215
O  0.5780  0.8735  0.3374
O  0.6095  0.5246  0.0891
O  0.6272  0.5447  0.3696
O  0.6669  0.2173  0.3324
O  0.6967  0.7038  0.7739
O  0.7156  0.2043  0.0381
O  0.7507  0.3068  0.7405
O  0.8079  0.7877  0.1091
O  0.9030  0.1987  0.4994
O  0.9671  0.0072  0.7834
O  0.9866  0.4624  0.1670

(4)
Starting from a structure optimized by DFT (PBE), the X-ray powder pattern of RbMgAsH12O10 was simulated for CuKα.
Peak positions follow from Bragg's law for the DFT cell and can differ from measured ones.

The 10 most intense peaks (10° ≤ 2θ ≤ 80°), low angle first:
| Position (°2θ) | I/Imax |
| --- | --- |
| 14.7 | 30 |
| 20.4 | 100 |
| 21.0 | 66 |
| 25.2 | 32 |
| 26.4 | 64 |
| 30.0 | 63 |
| 31.0 | 29 |
| 32.6 | 41 |
| 33.0 | 58 |
| 51.5 | 24 |

Structural model:
Lattice parameters (Å, degrees): 7.0803 6.2583 11.5219 90.00 90.00 90.00
Atoms (fractional coordinates):
Rb  0.0000  0.1435  0.0000
Rb  0.5000  0.8565  0.5000
Mg  0.0000  0.1130  0.3504
Mg  0.5000  0.8870  0.8504
As  0.0000  0.5227  0.7194
As  0.5000  0.4773  0.2194
H  0.0000  0.6667  0.3867
H  0.0000  0.7799  0.5138
H  0.1144  0.4894  0.2314
H  0.1804  0.6907  0.9224
H  0.1798  0.9073  0.7048
H  0.1999  0.2874  0.5392
H  0.2411  0.8548  0.2189
H  0.2589  0.1452  0.7189
H  0.3001  0.7126  0.0392
H  0.3202  0.0927  0.2048
H  0.3196  0.3093  0.4224
H  0.3856  0.5106  0.7314
H  0.5000  0.2201  0.0138
H  0.5000  0.3333  0.8867
H  0.6144  0.5106  0.7314
H  0.6798  0.0927  0.2048
H  0.6804  0.3093  0.4224
H  0.6999  0.7126  0.0392
H  0.7411  0.1452  0.7189
H  0.7589  0.8548  0.2189
H  0.8001  0.2874  0.5392
H  0.8196  0.6907  0.9224
H  0.8202  0.9073  0.7048
H  0.8856  0.4894  0.2314
O  0.0000  0.4268  0.2716
O  0.0000  0.5505  0.8678
O  0.0000  0.7732  0.6549
O  0.0000  0.8052  0.4270
O  0.2011  0.3908  0.6741
O  0.2078  0.0084  0.2333
O  0.2192  0.2196  0.4610
O  0.2808  0.7804  0.9610
O  0.2922  0.9916  0.7333
O  0.2989  0.6092  0.1741
O  0.5000  0.1948  0.9270
O  0.5000  0.2268  0.1549
O  0.5000  0.4495  0.3678
O  0.5000  0.5732  0.7716
O  0.7011  0.6092  0.1741
O  0.7078  0.9916  0.7333
O  0.7192  0.7804  0.9610
O  0.7808  0.2196  0.4610
O  0.7922  0.0084  0.2333
O  0.7989  0.3908  0.6741